No. 1
For Hg6H2Au, a cell relaxed with PBE gives the calculated PXRD pattern in this record (Cu Kα (λ = 1.5418 Å)).
Neutral-atom scattering factors, no anomalous dispersion.

Atomic structure:
a b c (Å): 8.2851 8.2851 8.4834
angles (deg): 119.74 119.74 85.54
Atoms (fractional coordinates):
Hg (0.0545, 0.8360, 0.5311)
Hg (0.1638, 0.4792, 0.1451)
Hg (0.1640, 0.9455, 0.9689)
Hg (0.2087, 0.5425, 0.7625)
Hg (0.4575, 0.7913, 0.7375)
Hg (0.4792, 0.1638, 0.6451)
Hg (0.5208, 0.8362, 0.3549)
Hg (0.5425, 0.2087, 0.2625)
Hg (0.7913, 0.4575, 0.2375)
Hg (0.8360, 0.0545, 0.0311)
Hg (0.8362, 0.5208, 0.8549)
Hg (0.9455, 0.1640, 0.4689)
H (0.3641, 0.4146, 0.2884)
H (0.4146, 0.3641, 0.7884)
H (0.5854, 0.6359, 0.2116)
H (0.6359, 0.5854, 0.7116)
Au (0.1247, 0.8753, 0.2500)
Au (0.8753, 0.1247, 0.7500)

Largest 6 diffraction maxima, low angle first, 2θ from 5° to 70°:
| Position (°2θ) | d [Å] | I_rel |
| --- | --- | --- |
| 30.96 | 2.888 | 83 |
| 31.81 | 2.813 | 97 |
| 32.67 | 2.741 | 100 |
| 35.36 | 2.539 | 81 |
| 38.52 | 2.337 | 88 |
| 46.44 | 1.955 | 91 |

No. 2
For HoFeOs, a cell relaxed with PBE gives the calculated PXRD pattern in this record (Cu Kα (λ = 1.5418 Å)).
Neutral-atom scattering factors, no anomalous dispersion.

Atomic structure:
a b c (Å): 5.2109 5.2363 7.5072
angles (deg): 90.00 90.00 90.00
Atoms (fractional coordinates):
Ho (0.0000, 0.2500, 0.1269)
Ho (0.0000, 0.7500, 0.8731)
Ho (0.5000, 0.2500, 0.3731)
Ho (0.5000, 0.7500, 0.6269)
Fe (0.2500, 0.2500, 0.7500)
Fe (0.2500, 0.7500, 0.2500)
Fe (0.7500, 0.2500, 0.7500)
Fe (0.7500, 0.7500, 0.2500)
Os (0.0000, 0.0000, 0.5000)
Os (0.0000, 0.5000, 0.5000)
Os (0.5000, 0.0000, 0.0000)
Os (0.5000, 0.5000, 0.0000)

Largest 6 diffraction maxima, low angle first, 2θ from 5° to 70°:
| Position (°2θ) | d [Å] | I_rel |
| --- | --- | --- |
| 34.05 | 2.633 | 47 |
| 34.42 | 2.605 | 36 |
| 39.96 | 2.256 | 70 |
| 40.38 | 2.234 | 100 |
| 40.50 | 2.228 | 34 |
| 42.08 | 2.147 | 31 |

No. 3
For HfPaSi2, a cell relaxed with PBE gives the calculated PXRD pattern in this record (Cu Kα (λ = 1.5418 Å)).
Neutral-atom scattering factors, no anomalous dispersion.

Atomic structure:
a b c (Å): 3.9632 3.9632 18.9951
angles (deg): 90.00 90.00 120.00
Atoms (fractional coordinates):
Hf (0.0000, 0.0000, 0.0000)
Hf (0.3333, 0.6667, 0.6667)
Hf (0.6667, 0.3333, 0.3333)
Pa (0.0000, 0.0000, 0.5000)
Pa (0.3333, 0.6667, 0.1667)
Pa (0.6667, 0.3333, 0.8333)
Si (0.0000, 0.0000, 0.2563)
Si (0.0000, 0.0000, 0.7437)
Si (0.3333, 0.6667, 0.4103)
Si (0.3333, 0.6667, 0.9230)
Si (0.6667, 0.3333, 0.0770)
Si (0.6667, 0.3333, 0.5897)

Largest 6 diffraction maxima, low angle first, 2θ from 5° to 70°:
| Position (°2θ) | d [Å] | I_rel |
| --- | --- | --- |
| 27.64 | 3.228 | 82 |
| 28.19 | 3.166 | 26 |
| 32.18 | 2.782 | 100 |
| 45.79 | 1.982 | 38 |
| 46.51 | 1.953 | 36 |
| 54.64 | 1.680 | 26 |

No. 4
For BaCaCu, a cell relaxed with PBE gives the calculated PXRD pattern in this record (Cu Kα (λ = 1.5418 Å)).
Neutral-atom scattering factors, no anomalous dispersion.

Atomic structure:
a b c (Å): 15.0570 4.2892 7.5773
angles (deg): 90.00 115.22 90.00
Atoms (fractional coordinates):
Ba (0.2190, 0.0000, 0.2364)
Ba (0.2810, 0.5000, 0.7636)
Ba (0.7190, 0.5000, 0.2364)
Ba (0.7810, 0.0000, 0.7636)
Ca (0.0106, 0.5000, 0.7427)
Ca (0.4894, 0.0000, 0.2573)
Ca (0.5106, 0.0000, 0.7427)
Ca (0.9894, 0.5000, 0.2573)
Cu (0.0909, 0.0000, 0.5574)
Cu (0.4091, 0.5000, 0.4426)
Cu (0.5909, 0.5000, 0.5574)
Cu (0.9091, 0.0000, 0.4426)

Largest 6 diffraction maxima, low angle first, 2θ from 5° to 70°:
| Position (°2θ) | d [Å] | I_rel |
| --- | --- | --- |
| 12.95 | 6.837 | 52 |
| 23.57 | 3.775 | 54 |
| 26.77 | 3.331 | 100 |
| 27.75 | 3.215 | 46 |
| 28.63 | 3.118 | 46 |
| 51.55 | 1.773 | 44 |

No. 5
For Ba6GePd2, a cell relaxed with PBE gives the calculated PXRD pattern in this record (Cu Kα (λ = 1.5418 Å)).
Neutral-atom scattering factors, no anomalous dispersion.

Atomic structure:
a b c (Å): 11.5288 8.9892 8.2690
angles (deg): 83.72 50.81 45.47
Atoms (fractional coordinates):
Ba (0.0494, 0.2866, 0.7134)
Ba (0.2866, 0.0494, 0.9506)
Ba (0.3785, 0.6215, 0.3785)
Ba (0.6215, 0.3785, 0.6215)
Ba (0.7134, 0.9506, 0.0494)
Ba (0.9506, 0.7134, 0.2866)
Ge (0.0000, 0.0000, 0.0000)
Pd (0.3365, 0.3365, 0.6635)
Pd (0.6635, 0.6635, 0.3365)

Largest 6 diffraction maxima, low angle first, 2θ from 5° to 70°:
| Position (°2θ) | d [Å] | I_rel |
| --- | --- | --- |
| 11.40 | 7.762 | 40 |
| 22.86 | 3.890 | 37 |
| 28.08 | 3.178 | 100 |
| 31.36 | 2.852 | 35 |
| 31.48 | 2.842 | 35 |
| 36.55 | 2.459 | 69 |

No. 6
For CaCuSbH, a cell relaxed with PBE gives the calculated PXRD pattern in this record (Cu Kα (λ = 1.5418 Å)).
Neutral-atom scattering factors, no anomalous dispersion.

Atomic structure:
a b c (Å): 4.3828 4.3828 4.3809
angles (deg): 90.00 90.00 120.00
Atoms (fractional coordinates):
Ca (0.0000, 0.0000, 0.0000)
Cu (0.6667, 0.3333, 0.5793)
Sb (0.3333, 0.6667, 0.4745)
H (0.6667, 0.3333, 0.9442)

Largest 6 diffraction maxima, low angle first, 2θ from 5° to 70°:
| Position (°2θ) | d [Å] | I_rel |
| --- | --- | --- |
| 20.27 | 4.381 | 40 |
| 31.18 | 2.869 | 100 |
| 41.20 | 2.191 | 70 |
| 46.33 | 1.960 | 28 |
| 59.69 | 1.549 | 25 |
| 68.88 | 1.363 | 31 |

No. 7
For CaAl5, a cell relaxed with PBE gives the calculated PXRD pattern in this record (Cu Kα (λ = 1.5418 Å)).
Neutral-atom scattering factors, no anomalous dispersion.

Atomic structure:
a b c (Å): 5.6590 5.6590 4.3474
angles (deg): 90.00 90.00 120.00
Atoms (fractional coordinates):
Ca (0.0000, 0.0000, 0.0000)
Al (0.0000, 0.5000, 0.5000)
Al (0.3333, 0.6667, 0.0000)
Al (0.5000, 0.0000, 0.5000)
Al (0.5000, 0.5000, 0.5000)
Al (0.6667, 0.3333, 0.0000)

Largest 6 diffraction maxima, low angle first, 2θ from 5° to 70°:
| Position (°2θ) | d [Å] | I_rel |
| --- | --- | --- |
| 27.42 | 3.252 | 29 |
| 31.62 | 2.829 | 27 |
| 36.67 | 2.450 | 34 |
| 37.94 | 2.371 | 100 |
| 41.55 | 2.174 | 26 |
| 60.55 | 1.529 | 24 |

No. 8
For Mg8Tl3Bi, a cell relaxed with PBE gives the calculated PXRD pattern in this record (Cu Kα (λ = 1.5418 Å)).
Neutral-atom scattering factors, no anomalous dispersion.

Atomic structure:
a b c (Å): 6.8384 6.8641 8.4649
angles (deg): 113.40 113.67 90.41
Atoms (fractional coordinates):
Mg (0.0000, 0.0000, 0.0000)
Mg (0.0121, 0.4736, 0.0265)
Mg (0.2487, 0.7216, 0.5329)
Mg (0.4740, 0.0113, 0.0252)
Mg (0.4897, 0.4890, 0.0427)
Mg (0.7199, 0.2490, 0.5319)
Mg (0.7434, 0.7422, 0.5268)
Mg (0.9187, 0.9204, 0.3033)
Tl (0.1253, 0.1264, 0.7436)
Tl (0.3588, 0.8781, 0.2840)
Tl (0.8785, 0.3571, 0.2843)
Bi (0.6233, 0.6220, 0.7957)

Largest 6 diffraction maxima, low angle first, 2θ from 5° to 70°:
| Position (°2θ) | d [Å] | I_rel |
| --- | --- | --- |
| 22.24 | 3.998 | 50 |
| 22.35 | 3.978 | 100 |
| 22.44 | 3.961 | 47 |
| 26.01 | 3.425 | 47 |
| 36.83 | 2.440 | 65 |
| 43.71 | 2.071 | 34 |

No. 9
For Dy5Tm5Sc, a cell relaxed with PBE gives the calculated PXRD pattern in this record (Cu Kα (λ = 1.5418 Å)).
Neutral-atom scattering factors, no anomalous dispersion.

Atomic structure:
a b c (Å): 9.7219 9.7219 6.8509
angles (deg): 110.49 110.49 34.66
Atoms (fractional coordinates):
Dy (0.0000, 0.0000, 0.0000)
Dy (0.3240, 0.3240, 0.0680)
Dy (0.3238, 0.3238, 0.5796)
Dy (0.6762, 0.6762, 0.4204)
Dy (0.6760, 0.6760, 0.9320)
Tm (0.1240, 0.1240, 0.6251)
Tm (0.1699, 0.1699, 0.1706)
Tm (0.5000, 0.5000, 0.5000)
Tm (0.8301, 0.8301, 0.8294)
Tm (0.8760, 0.8760, 0.3749)
Sc (0.5000, 0.5000, 0.0000)

Largest 6 diffraction maxima, low angle first, 2θ from 5° to 70°:
| Position (°2θ) | d [Å] | I_rel |
| --- | --- | --- |
| 28.90 | 3.089 | 29 |
| 30.77 | 2.906 | 34 |
| 30.88 | 2.896 | 59 |
| 31.07 | 2.878 | 34 |
| 34.17 | 2.624 | 100 |
| 44.38 | 2.041 | 26 |

No. 10
For Sm11Tl4Hg9, a cell relaxed with PBE gives the calculated PXRD pattern in this record (Cu Kα (λ = 1.5418 Å)).
Neutral-atom scattering factors, no anomalous dispersion.

Atomic structure:
a b c (Å): 13.6273 13.6273 3.7250
angles (deg): 90.00 90.00 105.76
Atoms (fractional coordinates):
Sm (0.0000, 0.0000, 0.0000)
Sm (0.0618, 0.4044, 0.0000)
Sm (0.1834, 0.8166, 0.0000)
Sm (0.2244, 0.2244, 0.0000)
Sm (0.3601, 0.6399, 0.0000)
Sm (0.4044, 0.0618, 0.0000)
Sm (0.5956, 0.9382, 0.0000)
Sm (0.6399, 0.3601, 0.0000)
Sm (0.7756, 0.7756, 0.0000)
Sm (0.8166, 0.1834, 0.0000)
Sm (0.9382, 0.5956, 0.0000)
Tl (0.2684, 0.4307, 0.5000)
Tl (0.4307, 0.2684, 0.5000)
Tl (0.5693, 0.7316, 0.5000)
Tl (0.7316, 0.5693, 0.5000)
Hg (0.0164, 0.1985, 0.5000)
Hg (0.1476, 0.6130, 0.5000)
Hg (0.1985, 0.0164, 0.5000)
Hg (0.3870, 0.8524, 0.5000)
Hg (0.5000, 0.5000, 0.5000)
Hg (0.6130, 0.1476, 0.5000)
Hg (0.8015, 0.9836, 0.5000)
Hg (0.8524, 0.3870, 0.5000)
Hg (0.9836, 0.8015, 0.5000)

Largest 6 diffraction maxima, low angle first, 2θ from 5° to 70°:
| Position (°2θ) | d [Å] | I_rel |
| --- | --- | --- |
| 32.11 | 2.787 | 29 |
| 32.43 | 2.761 | 100 |
| 32.96 | 2.718 | 96 |
| 34.54 | 2.597 | 82 |
| 48.90 | 1.862 | 24 |
| 60.26 | 1.536 | 58 |

No. 11
For Tl2Pb, a cell relaxed with PBE gives the calculated PXRD pattern in this record (Cu Kα (λ = 1.5418 Å)).
Neutral-atom scattering factors, no anomalous dispersion.

Atomic structure:
a b c (Å): 3.6431 17.3490 5.9444
angles (deg): 90.00 90.00 90.00
Atoms (fractional coordinates):
Tl (0.0000, 0.1644, 0.0000)
Tl (0.0000, 0.3356, 0.5000)
Tl (0.0000, 0.6644, 0.5000)
Tl (0.0000, 0.8356, 0.0000)
Tl (0.5000, 0.1644, 0.5000)
Tl (0.5000, 0.3356, 0.0000)
Tl (0.5000, 0.6644, 0.0000)
Tl (0.5000, 0.8356, 0.5000)
Pb (0.0000, 0.0000, 0.6502)
Pb (0.0000, 0.5000, 0.1502)
Pb (0.5000, 0.0000, 0.1502)
Pb (0.5000, 0.5000, 0.6502)

Largest 6 diffraction maxima, low angle first, 2θ from 5° to 70°:
| Position (°2θ) | d [Å] | I_rel |
| --- | --- | --- |
| 29.21 | 3.058 | 16 |
| 30.07 | 2.972 | 16 |
| 30.93 | 2.891 | 35 |
| 31.83 | 2.812 | 19 |
| 32.73 | 2.736 | 100 |
| 56.16 | 1.638 | 22 |

No. 12
For Rb2NpSc2Se6, a cell relaxed with PBE gives the calculated PXRD pattern in this record (Cu Kα (λ = 1.5418 Å)).
Neutral-atom scattering factors, no anomalous dispersion.

Atomic structure:
a b c (Å): 6.9800 6.9800 8.5041
angles (deg): 97.80 97.80 120.26
Atoms (fractional coordinates):
Rb (0.1655, 0.8345, 0.0000)
Rb (0.8345, 0.1655, 0.0000)
Np (0.0000, 0.0000, 0.5000)
Sc (0.3330, 0.6670, 0.5000)
Sc (0.6670, 0.3330, 0.5000)
Se (0.0620, 0.4033, 0.6860)
Se (0.2812, 0.2812, 0.3138)
Se (0.4033, 0.0620, 0.6860)
Se (0.5967, 0.9380, 0.3140)
Se (0.7188, 0.7188, 0.6862)
Se (0.9380, 0.5967, 0.3140)

Largest 6 diffraction maxima, low angle first, 2θ from 5° to 70°:
| Position (°2θ) | d [Å] | I_rel |
| --- | --- | --- |
| 10.81 | 8.182 | 44 |
| 15.13 | 5.855 | 24 |
| 29.47 | 3.031 | 100 |
| 36.34 | 2.472 | 18 |
| 39.11 | 2.303 | 28 |
| 45.12 | 2.009 | 25 |

No. 13
For Nd4GaTe3, a cell relaxed with PBE gives the calculated PXRD pattern in this record (Cu Kα (λ = 1.5418 Å)).
Neutral-atom scattering factors, no anomalous dispersion.

Atomic structure:
a b c (Å): 7.7681 8.9744 7.7032
angles (deg): 90.00 109.50 90.00
Atoms (fractional coordinates):
Nd (0.2333, 0.1167, 0.0012)
Nd (0.2333, 0.8833, 0.5012)
Nd (0.2371, 0.3584, 0.4856)
Nd (0.2371, 0.6416, 0.9856)
Nd (0.7629, 0.3584, 0.0144)
Nd (0.7629, 0.6416, 0.5144)
Nd (0.7667, 0.1167, 0.4988)
Nd (0.7667, 0.8833, 0.9988)
Ga (0.0000, 0.1236, 0.2500)
Ga (0.0000, 0.8764, 0.7500)
Te (0.0000, 0.3772, 0.7500)
Te (0.0000, 0.6228, 0.2500)
Te (0.5000, 0.1250, 0.7500)
Te (0.5000, 0.3793, 0.2500)
Te (0.5000, 0.6207, 0.7500)
Te (0.5000, 0.8750, 0.2500)

Largest 6 diffraction maxima, low angle first, 2θ from 5° to 70°:
| Position (°2θ) | d [Å] | I_rel |
| --- | --- | --- |
| 28.22 | 3.163 | 100 |
| 40.20 | 2.243 | 37 |
| 40.45 | 2.230 | 37 |
| 49.84 | 1.830 | 20 |
| 65.88 | 1.418 | 16 |
| 66.19 | 1.412 | 11 |

No. 14
For CaPm6Sn4, a cell relaxed with PBE gives the calculated PXRD pattern in this record (Cu Kα (λ = 1.5418 Å)).
Neutral-atom scattering factors, no anomalous dispersion.

Atomic structure:
a b c (Å): 8.2801 8.2801 8.2801
angles (deg): 121.48 121.48 87.46
Atoms (fractional coordinates):
Ca (0.0000, 0.0000, 0.0000)
Pm (0.0000, 0.5000, 0.5000)
Pm (0.1749, 0.4913, 0.0000)
Pm (0.4913, 0.1749, 0.0000)
Pm (0.5000, 0.0000, 0.5000)
Pm (0.5087, 0.5087, 0.6836)
Pm (0.8251, 0.8251, 0.3164)
Sn (0.1779, 0.1779, 0.5533)
Sn (0.3754, 0.8221, 0.0000)
Sn (0.6246, 0.6246, 0.4467)
Sn (0.8221, 0.3754, 0.0000)

Largest 6 diffraction maxima, low angle first, 2θ from 5° to 70°:
| Position (°2θ) | d [Å] | I_rel |
| --- | --- | --- |
| 21.48 | 4.136 | 69 |
| 25.71 | 3.465 | 89 |
| 31.25 | 2.862 | 85 |
| 33.81 | 2.651 | 100 |
| 35.06 | 2.560 | 62 |
| 37.38 | 2.406 | 94 |